Entry 1:
Diffraction record for Ce2SmTl4. The powder diffractogram is calculated, not measured: it uses a PBE-relaxed structure and Cu Ka.

Main lines, low angle first (10° ≤ 2θ ≤ 80°):
2θ 16.5, I 8
2θ 22.7, I 12
2θ 32.4, I 55
2θ 33.4, I 100
2θ 46.4, I 20
2θ 49.6, I 9
2θ 58.4, I 41
2θ 60.5, I 19
2θ 67.8, I 7
2θ 70.3, I 12
2θ 77.1, I 9
2θ 77.7, I 9

Structural model:
```
14
Lattice="7.824 0.000 0.000 0.000 7.824 0.000 0.000 0.000 7.353" Properties=species:S:1:pos:R:3 pbc="T T T"
Ce 0.000 3.912 0.000
Ce 0.000 3.912 3.676
Ce 3.912 0.000 0.000
Ce 3.912 0.000 3.676
Sm 0.000 0.000 0.000
Sm 3.912 3.912 3.676
Tl 1.956 1.956 1.838
Tl 1.956 1.956 5.514
Tl 1.956 5.868 1.838
Tl 1.956 5.868 5.514
Tl 5.868 1.956 1.838
Tl 5.868 1.956 5.514
Tl 5.868 5.868 1.838
Tl 5.868 5.868 5.514
```

---

Entry 2:
Diffraction record for BaPaMnSe4. The powder diffractogram is calculated, not measured: it uses a PBE-relaxed structure and Cu Ka.

Main lines, low angle first (10° ≤ 2θ ≤ 80°):
2θ 10.4, I 78
2θ 19.0, I 88
2θ 26.2, I 63
2θ 28.7, I 41
2θ 29.2, I 46
2θ 29.8, I 38
2θ 31.6, I 100
2θ 32.1, I 89
2θ 33.8, I 59
2θ 33.9, I 52
2θ 38.6, I 55
2θ 40.4, I 54

Structural model:
```
14
Lattice="6.745 0.000 0.000 0.000 6.801 0.000 -2.817 0.000 8.473" Properties=species:S:1:pos:R:3 pbc="T T T"
Ba 1.478 1.700 0.465
Ba 2.450 5.101 8.008
Pa 0.002 1.700 4.708
Pa 3.926 5.101 3.765
Mn 0.647 5.101 2.780
Mn 3.281 1.700 5.693
Se -1.830 3.504 6.054
Se -1.830 6.698 6.054
Se 2.502 5.101 1.205
Se 1.401 5.101 5.065
Se 2.527 1.700 3.408
Se 1.426 1.700 7.267
Se 5.758 0.103 2.418
Se 5.758 3.297 2.418
```

---

Entry 3:
Diffraction record for SrLaTlSe2. The powder diffractogram is calculated, not measured: it uses a PBE-relaxed structure and Cu Ka.

Main lines, low angle first (10° ≤ 2θ ≤ 80°):
2θ 15.4, I 100
2θ 21.8, I 73
2θ 26.8, I 28
2θ 31.0, I 92
2θ 31.1, I 45
2θ 34.8, I 31
2θ 34.9, I 24
2θ 38.3, I 35
2θ 44.4, I 34
2θ 44.5, I 68
2θ 55.2, I 36
2θ 73.4, I 31

Structural model:
```
5
Lattice="5.773 0.000 0.000 0.000 5.773 0.000 0.000 0.000 5.745" Properties=species:S:1:pos:R:3 pbc="T T T"
Sr 0.000 0.000 0.000
La 2.886 2.886 0.000
Tl 2.886 2.886 2.873
Se 0.000 2.886 2.873
Se 2.886 0.000 2.873
```

---

Entry 4:
Diffraction record for SrIn2SnHg2. The powder diffractogram is calculated, not measured: it uses a PBE-relaxed structure and Cu Ka.

Main lines, low angle first (10° ≤ 2θ ≤ 80°):
2θ 14.4, I 71
2θ 21.7, I 46
2θ 29.1, I 52
2θ 30.8, I 100
2θ 34.2, I 37
2θ 36.6, I 20
2θ 42.9, I 74
2θ 44.1, I 38
2θ 53.7, I 38
2θ 64.2, I 17
2θ 72.0, I 16
2θ 72.9, I 19

Structural model:
```
12
Lattice="5.804 0.000 0.000 0.000 5.804 0.000 0.000 0.000 12.270" Properties=species:S:1:pos:R:3 pbc="T T T"
Sr 0.000 0.000 0.000
Sr 2.902 2.902 6.135
In 0.000 2.902 3.068
In 0.000 2.902 9.203
In 2.902 0.000 3.068
In 2.902 0.000 9.203
Sn 0.000 0.000 6.135
Sn 2.902 2.902 0.000
Hg 0.000 0.000 3.288
Hg 0.000 0.000 8.982
Hg 2.902 2.902 2.847
Hg 2.902 2.902 9.423
```